Computed powder diffractogram
Compound: ZnCoNi4
Radiation: Cu Ka
Structure: a cell relaxed with PBE
Lines closer than 0.1° are merged.

Principal peaks in the range 10° ≤ 2θ ≤ 90°, sorted by position:
- 39.50°, d 2.281, I = 1
- 44.09°, d 2.054, I = 100
- 51.05°, d 1.789, I = 32
- 51.99°, d 1.759, I = 15
- 75.10°, d 1.265, I = 9
- 75.86°, d 1.254, I = 17

Structural model:
Cell: 2.5300 2.5300 10.5530 Å, 90.00 90.00 90.00°
Space group P4/mmm (No. 123)
One atom of each set of equivalent atoms:
Zn 0.0000 0.0000 0.0000 [1 per cell]
Co 0.5000 0.5000 0.5000 [1 per cell]
Ni 0.0000 0.0000 0.3375 [2 per cell]
Ni 0.5000 0.5000 0.1728 [2 per cell]